1.
Starting from a crystal structure in the Materials Project, relaxed with PBE, the powder diffraction line list of SmCdHg2 was computed for a wavelength of 1.5418 Å.
Intensities are scaled so that the largest is 100.

Most intense lines, 5° ≤ 2θ ≤ 70°, by angle:
2θ/deg, d/Å, I (rel.)
24.37, 3.652, 5
34.74, 2.582, 100
42.89, 2.109, 2
49.94, 1.826, 18
56.33, 1.633, 2
62.27, 1.491, 37

Atomic structure:
Cell: 5.1649 5.1649 5.1649 Å, 60.00 60.00 60.00°
Sites, in units of the cell vectors:
1 Sm 0.0000 0.0000 0.0000
2 Cd 0.5000 0.5000 0.5000
3 Hg 0.2500 0.2500 0.2500
4 Hg 0.7500 0.7500 0.7500

2.
Starting from a crystal structure in the Materials Project, relaxed with PBE, the powder diffraction line list of Sr2CdHg was computed for a wavelength of 1.5418 Å.
Intensities are scaled so that the largest is 100.

Most intense lines, 5° ≤ 2θ ≤ 70°, by angle:
2θ/deg, d/Å, I (rel.)
19.03, 4.664, 6
22.01, 4.039, 9
31.32, 2.856, 100
44.88, 2.020, 18
55.74, 1.649, 39
65.34, 1.428, 12

Atomic structure:
Cell: 5.7124 5.7124 5.7124 Å, 60.00 60.00 60.00°
Sites, in units of the cell vectors:
1 Sr 0.2500 0.2500 0.2500
2 Sr 0.7500 0.7500 0.7500
3 Cd 0.0000 0.0000 0.0000
4 Hg 0.5000 0.5000 0.5000

What is the formula in the first record?
SmCdHg2

What is the formula in the first record?
SmCdHg2